The following is a calculated powder diffractogram of Li10CoSi2O10. It was derived from DFT lattice parameters and positions (GGA+U), using CuKα.
Kinematic intensities with the Lorentz-polarization factor, no thermal factor.

Structural model:
```
Li10CoSi2O10
1.0
5.211 0.000 0.000
-0.105 6.157 0.000
-2.341 -2.859 14.988
Li Co Si O
20 2 4 20
Direct
0.000 0.000 0.000
0.001 0.149 0.855
0.068 0.428 0.032
0.206 0.261 0.216
0.250 0.501 0.596
0.263 0.773 0.140
0.307 0.013 0.520
0.443 0.846 0.704
0.510 0.125 0.881
0.512 0.274 0.735
0.534 0.585 0.259
0.570 0.069 0.262
0.609 0.894 0.409
0.716 0.291 0.603
0.728 0.718 0.599
0.784 0.557 0.137
0.796 0.983 0.133
0.903 0.380 0.326
0.943 0.205 0.474
0.979 0.689 0.476
0.738 0.639 0.947
0.772 0.635 0.788
0.039 0.040 0.665
0.064 0.865 0.307
0.448 0.409 0.428
0.473 0.233 0.071
0.019 0.921 0.413
0.094 0.225 0.604
0.114 0.798 0.609
0.141 0.427 0.441
0.233 0.086 0.762
0.279 0.188 0.974
0.372 0.847 0.295
0.398 0.476 0.127
0.418 0.049 0.132
0.493 0.353 0.323
0.569 0.207 0.479
0.592 0.543 0.675
0.604 0.648 0.476
0.724 0.034 0.670
0.729 0.390 0.855
0.781 0.884 0.881
0.788 0.240 0.065
0.909 0.625 0.259
0.920 0.731 0.060
0.943 0.067 0.256
```

Largest 10 diffraction maxima, sorted by position, 2θ = 10–90°:
2θ (°)  I (rel.)  hkl
17.27  57  1 0 0
19.10  59  1 0 1
20.53  46  0 1 2
20.83  27  0 1 -3
22.16  100  1 -1 0
22.53  91  1 1 -1
22.96  28  -1 1 1
29.01  30  0 2 -1
32.69  29  -1 1 4
34.43  91  2 0 -1